Record 1
This entry pairs a crystal structure of Gd3MgCd2Ir2Au with its simulated powder diffractogram. Radiation: Cu Kα X-rays. Structure: DFT lattice parameters and positions (PBE).
Kinematic intensities with the Lorentz-polarization factor, no thermal factor.

The 10 most intense peaks (2θ = 10–90°), in order of falling intensity:
2θ 35.59, intensity 100, hkl 1 2 2
2θ 35.38, intensity 98, hkl 1 4 0
2θ 32.81, intensity 68, hkl 1 0 2
2θ 32.65, intensity 62, hkl 1 3 1
2θ 41.35, intensity 58, hkl 0 3 3
2θ 45.87, intensity 45, hkl 2 0 0
2θ 26.29, intensity 33, hkl 1 2 0
2θ 63.45, intensity 33, hkl 2 3 3
2θ 36.14, intensity 29, hkl 0 4 2
2θ 43.19, intensity 28, hkl 1 1 3

```
data_Gd3MgCd2Ir2Au
_space_group_name_H-M_alt 'A m m 2'
_space_group_IT_number 38
_cell_length_a 3.9568
_cell_length_b 13.2247
_cell_length_c 7.5393
_cell_angle_alpha 90.00
_cell_angle_beta 90.00
_cell_angle_gamma 90.00
loop_
_space_group_symop_operation_xyz
'x,y,z'
'-x,-y,z'
'-x,y,z'
'x,-y,z'
'x,y+1/2,z+1/2'
'-x,-y+1/2,z+1/2'
'-x,y+1/2,z+1/2'
'x,-y+1/2,z+1/2'
loop_
_atom_site_label
_atom_site_fract_x
_atom_site_fract_y
_atom_site_fract_z
_atom_site_occupancy
Gd1 0.0000 0.0000 0.0000 1
Gd2 0.0000 0.2093 0.6123 1
Mg1 0.5000 0.0000 0.6667 1
Cd1 0.5000 0.1306 0.2781 1
Ir1 0.5000 0.1621 0.8986 1
Au1 0.0000 0.0000 0.4232 1
```


Record 2
This entry pairs a crystal structure of Li3As4HAu2O14 with its simulated powder diffractogram. Radiation: Cu Kα X-rays. Structure: DFT lattice parameters and positions (PBE).
Kinematic intensities with the Lorentz-polarization factor, no thermal factor.

The 10 most intense peaks (2θ = 10–90°), in order of falling intensity:
2θ 21.01, intensity 100, hkl -1 1 1
2θ 14.24, intensity 78, hkl 0 0 2
2θ 32.88, intensity 71, hkl 1 1 -1
2θ 22.05, intensity 49, hkl 1 -1 1
2θ 31.92, intensity 46, hkl 1 0 3
2θ 38.21, intensity 40, hkl 1 0 -5
2θ 22.36, intensity 37, hkl 1 0 -2
2θ 24.86, intensity 33, hkl 0 1 2
2θ 36.21, intensity 31, hkl 0 1 4
2θ 34.09, intensity 28, hkl -1 1 4

```
data_Li3As4HAu2O14
_space_group_name_H-M_alt 'P -1'
_space_group_IT_number 2
_cell_length_a 5.0574
_cell_length_b 5.2786
_cell_length_c 12.6419
_cell_angle_alpha 91.52
_cell_angle_beta 98.32
_cell_angle_gamma 116.33
loop_
_space_group_symop_operation_xyz
'x,y,z'
'-x,-y,-z'
loop_
_atom_site_label
_atom_site_fract_x
_atom_site_fract_y
_atom_site_fract_z
_atom_site_occupancy
Li1 0.0000 0.0000 0.0000 1
Li2 0.3862 0.2082 0.5295 1
As1 0.1194 0.5800 0.6279 1
As2 0.3029 0.6021 0.8793 1
H1 0.5000 0.0000 0.0000 1
Au1 0.1704 0.9858 0.2575 1
O1 0.0998 0.6659 0.7646 1
O2 0.1209 0.2542 0.6333 1
O3 0.1780 0.2449 0.8815 1
O4 0.2041 0.4396 0.4389 1
O5 0.2633 0.7837 0.9843 1
O6 0.3290 0.2485 0.1345 1
O7 0.4431 0.8684 0.6066 1
```


Record 3
This entry pairs a crystal structure of Cu7Ag2 with its simulated powder diffractogram. Radiation: Cu Kα X-rays. Structure: DFT lattice parameters and positions (PBE).
Kinematic intensities with the Lorentz-polarization factor, no thermal factor.

The 10 most intense peaks (2θ = 10–90°), in order of falling intensity:
2θ 41.45, intensity 100, hkl 2 -1 3
2θ 48.46, intensity 60, hkl 1 1 6
2θ 42.19, intensity 30, hkl 0 0 9
2θ 85.65, intensity 20, hkl 3 0 9
2θ 70.43, intensity 18, hkl 3 0 0
2θ 71.48, intensity 18, hkl 2 -1 12
2θ 85.15, intensity 11, hkl 2 2 3
2θ 86.64, intensity 10, hkl 1 1 15
2θ 13.78, intensity 4, hkl 0 0 3
2θ 27.77, intensity 4, hkl 0 0 6

```
data_Cu7Ag2
_space_group_name_H-M_alt 'R -3'
_space_group_IT_number 148
_space_group_name_Hall '-R 3'
_cell_length_a 4.6314
_cell_length_b 4.6314
_cell_length_c 19.2755
_cell_angle_alpha 90.00
_cell_angle_beta 90.00
_cell_angle_gamma 120.00
loop_
_atom_site_label
_atom_site_fract_x
_atom_site_fract_y
_atom_site_fract_z
_atom_site_occupancy
Cu1 0.0000 0.0000 0.0000 1
Cu2 0.0014 0.3256 0.1146 1
Ag1 0.0000 0.0000 0.3334 1
```


Record 4
This entry pairs a crystal structure of CuAg3 with its simulated powder diffractogram. Radiation: Cu Kα X-rays. Structure: DFT lattice parameters and positions (PBE).
Kinematic intensities with the Lorentz-polarization factor, no thermal factor.

The 10 most intense peaks (2θ = 10–90°), in order of falling intensity:
2θ 38.64, intensity 100, hkl 1 1 2
2θ 44.77, intensity 32, hkl 4 0 0
2θ 78.40, intensity 23, hkl 5 1 2
2θ 65.52, intensity 19, hkl 4 2 0
2θ 45.22, intensity 16, hkl 0 2 0
2θ 79.05, intensity 11, hkl 1 3 2
2θ 82.86, intensity 10, hkl 2 2 4
2θ 65.12, intensity 5, hkl 6 0 -4
2θ 65.22, intensity 5, hkl 2 0 4
2θ 25.38, intensity 2, hkl 1 1 -1

```
data_CuAg3
_space_group_name_H-M_alt 'C 1 2/m 1'
_space_group_IT_number 12
_cell_length_a 9.0595
_cell_length_b 4.0107
_cell_length_c 8.0962
_cell_angle_alpha 90.00
_cell_angle_beta 116.62
_cell_angle_gamma 90.00
loop_
_space_group_symop_operation_xyz
'x,y,z'
'-x,-y,-z'
'-x,y,-z'
'x,-y,z'
'x+1/2,y+1/2,z'
'-x+1/2,-y+1/2,-z'
'-x+1/2,y+1/2,-z'
'x+1/2,-y+1/2,z'
loop_
_atom_site_label
_atom_site_fract_x
_atom_site_fract_y
_atom_site_fract_z
_atom_site_occupancy
Cu1 0.1220 0.0000 0.1819 1
Ag1 0.1215 0.5000 0.9393 1
Ag2 0.1270 0.5000 0.4351 1
Ag3 0.1275 0.0000 0.6928 1
```